This entry pairs a crystal structure of Ce3Ga2Si with its computed PXRD pattern. Radiation: Cu Kα (λ = 1.5418 Å). Structure: a crystal structure in Alexandria, relaxed with PBE.
Intensities are scaled so that the largest is 100.

Structure:
abc: 4.6246 13.8928 4.1805
angles: 90.00 90.00 90.00
Sites, in units of the cell vectors:
1 Ce 0.2500 0.0878 0.0000
2 Ce 0.2500 0.4122 0.0000
3 Ce 0.2500 0.7500 0.0008
4 Ce 0.7500 0.2500 0.9992
5 Ce 0.7500 0.5878 0.0000
6 Ce 0.7500 0.9122 0.0000
7 Ga 0.2500 0.5782 0.5002
8 Ga 0.2500 0.9218 0.5002
9 Ga 0.7500 0.0782 0.4998
10 Ga 0.7500 0.4218 0.4998
11 Si 0.2500 0.2500 0.4996
12 Si 0.7500 0.7500 0.5004

Peak list (6 most intense, 2θ from 5° to 70°, low angle first)
d 4.180, 21.3°, I = 14, hkl 0 0 1; d 3.272, 27.3°, I = 16, hkl 1 3 0; d 2.577, 34.8°, I = 100, hkl 1 3 1; d 2.314, 38.9°, I = 37, hkl 2 0 0; d 1.551, 59.6°, I = 21, hkl 2 0 2; d 1.381, 67.9°, I = 27, hkl 3 3 1